1.
Calculated powder XRD pattern of Nb2FeIr5 for Cu Kα X-rays, from DFT lattice parameters and positions (GGA-PBE).
Intensities are scaled so that the largest is 100.

Crystal structure
```
data_Nb2FeIr5
_cell_length_a 4.446
_cell_length_b 5.545
_cell_length_c 9.593
_cell_angle_alpha 90.00
_cell_angle_beta 90.00
_cell_angle_gamma 90.00
_space_group_name_H-M_alt 'A m m 2'
_space_group_IT_number 38
loop_
_space_group_symop_operation_xyz
'x,y,z'
'-x,-y,z'
'-x,y,z'
'x,-y,z'
'x,y+1/2,z+1/2'
'-x,-y+1/2,z+1/2'
'-x,y+1/2,z+1/2'
'x,-y+1/2,z+1/2'
loop_
_atom_site_label
_atom_site_type_symbol
_atom_site_fract_x
_atom_site_fract_y
_atom_site_fract_z
Nb1 Nb 0.000 0.000 0.000
Nb2 Nb 0.500 0.000 0.335
Fe1 Fe 0.500 0.000 0.831
Ir1 Ir 0.000 0.000 0.506
Ir2 Ir 0.000 0.243 0.753
Ir3 Ir 0.500 0.246 0.586
```

Largest 6 diffraction maxima, sorted by position, 2θ = 5–70°:
hkl 1 0 2, 3.261 Å, intensity 9; hkl 0 0 4, 2.400 Å, intensity 25; hkl 2 0 0, 2.223 Å, intensity 26; hkl 1 2 2, 2.112 Å, intensity 100; hkl 2 0 4, 1.631 Å, intensity 15; hkl 0 2 6, 1.385 Å, intensity 17



2.
Calculated powder XRD pattern of Cu3Br4 for Cu Kα X-rays, from DFT lattice parameters and positions (GGA-PBE).
Intensities are scaled so that the largest is 100.

Crystal structure
```
data_Cu3Br4
_cell_length_a 5.601
_cell_length_b 5.601
_cell_length_c 5.601
_cell_angle_alpha 90.00
_cell_angle_beta 90.00
_cell_angle_gamma 90.00
_space_group_name_H-M_alt 'P -4 3 m'
_space_group_IT_number 215
_space_group_name_Hall 'P -4 2 3'
loop_
_atom_site_label
_atom_site_type_symbol
_atom_site_fract_x
_atom_site_fract_y
_atom_site_fract_z
Cu1 Cu 0.000 0.000 0.500
Br1 Br 0.254 0.254 0.746
```

Largest 6 diffraction maxima, sorted by position, 2θ = 5–70°:
hkl 1 0 0, 5.601 Å, intensity 7; hkl 1 1 0, 3.960 Å, intensity 8; hkl 1 1 1, 3.233 Å, intensity 100; hkl 2 2 0, 1.980 Å, intensity 69; hkl 3 1 1, 1.689 Å, intensity 43; hkl 4 0 0, 1.400 Å, intensity 11